# 1
The following is a simulated X-ray diffraction stick pattern of Sr3BiPb. It was derived from a DFT-relaxed cell (PBE, Alexandria), using CuKα.

The 10 most intense peaks (10 to 80 degrees two-theta), by angle:
| 2θ (°) | d (Å) | I_rel | h k l |
| --- | --- | --- | --- |
| 14.03 | 6.314 | 40 | 0 1 1 |
| 18.08 | 4.905 | 70 | 2 0 0 |
| 19.32 | 4.594 | 64 | 1 0 -2 |
| 20.81 | 4.268 | 49 | 2 1 0 |
| 25.79 | 3.454 | 48 | 1 1 2 |
| 28.27 | 3.157 | 100 | 0 2 2 |
| 30.35 | 2.945 | 84 | 1 1 -3 |
| 30.63 | 2.919 | 58 | 2 2 1 |
| 31.03 | 2.882 | 53 | 3 1 -2 |
| 32.66 | 2.742 | 75 | 1 3 -1 |

Atomic structure:
a b c (Å): 10.132 8.799 9.389
angles (deg): 90.00 105.10 90.00
Space group P2_1/c (No. 14)
Symmetry-distinct sites (fractional):
Sr (0.060, 0.002, 0.207) [4 per cell]
Sr (0.290, 0.633, 0.084) [4 per cell]
Sr (0.360, 0.202, 0.950) [4 per cell]
Bi (0.407, 0.546, 0.758) [4 per cell]
Pb (0.073, 0.166, 0.545) [4 per cell]


# 2
The following is a simulated X-ray diffraction stick pattern of Ba5Ge3. It was derived from a DFT-relaxed cell (PBE, Alexandria), using CuKα.

The 10 most intense peaks (10 to 80 degrees two-theta), by angle:
| 2θ (°) | d (Å) | I_rel | h k l |
| --- | --- | --- | --- |
| 23.69 | 3.755 | 21 | 2 1 1 |
| 28.15 | 3.170 | 100 | 2 1 3 |
| 29.34 | 3.044 | 23 | 2 2 0 |
| 29.76 | 3.002 | 65 | 2 0 4 |
| 32.90 | 2.722 | 44 | 3 1 0 |
| 43.68 | 2.072 | 20 | 4 1 1 |
| 46.42 | 1.956 | 18 | 4 1 3 |
| 49.94 | 1.826 | 18 | 3 3 4 |
| 58.67 | 1.574 | 16 | 4 1 7 |
| 58.98 | 1.566 | 14 | 5 1 4 |

Atomic structure:
a b c (Å): 8.610 8.610 16.755
angles (deg): 90.00 90.00 90.00
Space group P4/ncc (No. 130, origin choice 2)
Symmetry-distinct sites (fractional):
Ba (0.054, 0.584, 0.109) [16 per cell]
Ba (0.250, 0.250, 0.218) [4 per cell]
Ge (0.142, 0.642, 0.750) [8 per cell]
Ge (0.250, 0.250, 0.009) [4 per cell]


# 3
The following is a simulated X-ray diffraction stick pattern of Tm3ZnHg3. It was derived from a DFT-relaxed cell (PBE, Alexandria), using CuKα.

The 10 most intense peaks (10 to 80 degrees two-theta), by angle:
| 2θ (°) | d (Å) | I_rel | h k l |
| --- | --- | --- | --- |
| 32.54 | 2.752 | 100 | 1 1 2 |
| 33.75 | 2.656 | 36 | 1 0 5 |
| 36.28 | 2.476 | 29 | 1 1 4 |
| 37.23 | 2.415 | 68 | 0 1 7 |
| 38.02 | 2.367 | 43 | 0 2 0 |
| 41.88 | 2.157 | 25 | 1 1 6 |
| 50.70 | 1.801 | 19 | 2 0 0 |
| 51.74 | 1.767 | 22 | 1 2 5 |
| 64.55 | 1.444 | 29 | 2 1 7 |
| 65.09 | 1.433 | 18 | 2 2 0 |

Atomic structure:
a b c (Å): 3.601 4.733 19.660
angles (deg): 90.00 90.00 90.00
Space group Imm2 (No. 44)
Symmetry-distinct sites (fractional):
Tm (0.000, 0.000, 0.000) [2 per cell]
Tm (0.000, 0.000, 0.389) [2 per cell]
Tm (0.000, 0.500, 0.199) [2 per cell]
Zn (0.000, 0.500, 0.766) [2 per cell]
Hg (0.000, 0.000, 0.544) [2 per cell]
Hg (0.000, 0.000, 0.841) [2 per cell]
Hg (0.000, 0.500, 0.633) [2 per cell]


# 4
The following is a simulated X-ray diffraction stick pattern of H3Pd3Au. It was derived from a DFT-relaxed cell (PBE, Alexandria), using CuKα.

The 10 most intense peaks (10 to 80 degrees two-theta), by angle:
| 2θ (°) | d (Å) | I_rel | h k l |
| --- | --- | --- | --- |
| 23.66 | 3.761 | 16 | 1 1 0 |
| 33.70 | 2.659 | 45 | 2 0 0 |
| 37.82 | 2.379 | 63 | 2 1 0 |
| 41.59 | 2.171 | 100 | 2 1 1 |
| 48.40 | 1.881 | 3 | 2 2 0 |
| 54.56 | 1.682 | 4 | 3 1 0 |
| 63.01 | 1.475 | 14 | 3 2 0 |
| 65.68 | 1.422 | 52 | 3 2 1 |
| 70.87 | 1.330 | 15 | 4 0 0 |
| 75.89 | 1.254 | 3 | 4 1 1 |

Atomic structure:
a b c (Å): 5.319 5.319 5.319
angles (deg): 90.00 90.00 90.00
Space group Pm-3n (No. 223)
Symmetry-distinct sites (fractional):
H (0.000, 0.250, 0.500) [6 per cell]
Pd (0.000, 0.500, 0.250) [6 per cell]
Au (0.000, 0.000, 0.000) [2 per cell]


# 5
The following is a simulated X-ray diffraction stick pattern of PaSe2Br. It was derived from a DFT-relaxed cell (PBE, Alexandria), using CuKα.

The 10 most intense peaks (10 to 80 degrees two-theta), by angle:
| 2θ (°) | d (Å) | I_rel | h k l |
| --- | --- | --- | --- |
| 14.90 | 5.946 | 76 | 0 0 1 |
| 21.42 | 4.148 | 86 | 1 0 0 |
| 26.20 | 3.402 | 40 | 1 0 1 |
| 37.21 | 2.416 | 100 | 1 0 2 |
| 37.56 | 2.395 | 87 | 1 1 0 |
| 40.62 | 2.221 | 39 | 1 1 1 |
| 48.84 | 1.865 | 30 | 1 1 2 |
| 53.91 | 1.701 | 35 | 0 2 2 |
| 66.86 | 1.399 | 22 | 0 1 4 |
| 67.55 | 1.387 | 35 | 2 1 2 |

Atomic structure:
a b c (Å): 4.7892 4.7892 5.9459
angles (deg): 90.00 90.00 120.00
Space group P-3m1 (No. 164)
Symmetry-distinct sites (fractional):
Pa (0.0000, 0.0000, 0.0000) [1 per cell]
Se (0.3333, 0.6667, 0.8615) [2 per cell]
Br (0.0000, 0.0000, 0.5000) [1 per cell]


# 6
The following is a simulated X-ray diffraction stick pattern of NbAg3Cl. It was derived from a DFT-relaxed cell (PBE, Alexandria), using CuKα.

The 10 most intense peaks (10 to 80 degrees two-theta), by angle:
| 2θ (°) | d (Å) | I_rel | h k l |
| --- | --- | --- | --- |
| 16.80 | 5.278 | 75 | 1 0 0 |
| 29.31 | 3.047 | 70 | 1 1 1 |
| 33.97 | 2.639 | 100 | 2 0 0 |
| 38.12 | 2.361 | 39 | 2 1 0 |
| 48.80 | 1.866 | 69 | 2 2 0 |
| 51.97 | 1.759 | 20 | 3 0 0 |
| 57.95 | 1.591 | 27 | 3 1 1 |
| 60.79 | 1.524 | 23 | 2 2 2 |
| 74.06 | 1.280 | 11 | 4 1 0 |
| 79.08 | 1.211 | 11 | 3 3 1 |

Atomic structure:
a b c (Å): 5.278 5.278 5.278
angles (deg): 90.00 90.00 90.00
Space group Pm-3m (No. 221)
Symmetry-distinct sites (fractional):
Nb (0.000, 0.000, 0.000) [1 per cell]
Ag (0.000, 0.000, 0.500) [3 per cell]
Cl (0.500, 0.500, 0.500) [1 per cell]